Entry 1:
Simulated X-ray diffraction stick pattern
Compound: Sm3BPd2Rh3
Radiation: Cu Ka
Structure: the PBE geometry in Alexandria

Cell and atoms:
abc: 7.3945 7.3945 3.4950
angles: 90.00 90.00 120.00
Space group P-62m (No. 189)
Symmetry-distinct sites (fractional):
Sm 0.0000 0.6226 0.0000 x3
B 0.0000 0.0000 0.0000 x1
Pd 0.3333 0.6667 0.5000 x2
Rh 0.0000 0.2141 0.5000 x3

Top 6 peaks for 2θ = 10–90°, by angle:
2θ = 35.34°, I = 100, hkl 1 1 1
2θ = 37.15°, I = 45, hkl 2 1 0
2θ = 38.12°, I = 26, hkl 2 0 1
2θ = 42.34°, I = 22, hkl 3 0 0
2θ = 45.59°, I = 16, hkl 2 1 1
2θ = 72.90°, I = 18, hkl 4 1 1


Entry 2:
Simulated X-ray diffraction stick pattern
Compound: NaPu2I4
Radiation: Cu Ka
Structure: the PBE geometry in Alexandria

Cell and atoms:
abc: 16.967 3.763 8.407
angles: 90.00 108.42 90.00
Space group C2/m (No. 12)
Symmetry-distinct sites (fractional):
Na 0.000 0.000 0.000 x2
Pu 0.238 0.000 0.080 x4
I 0.103 0.000 0.736 x4
I 0.142 0.500 0.254 x4

Top 6 peaks for 2θ = 10–90°, by angle:
2θ = 10.99°, I = 100, hkl 2 0 0
2θ = 11.09°, I = 92, hkl 0 0 1
2θ = 12.92°, I = 48, hkl 2 0 -1
2θ = 27.81°, I = 38, hkl 4 0 1
2θ = 29.11°, I = 49, hkl 3 1 -1
2θ = 40.46°, I = 39, hkl 1 1 -3


Entry 3:
Simulated X-ray diffraction stick pattern
Compound: BaP3
Radiation: Cu Ka
Structure: the PBE geometry in Alexandria

Cell and atoms:
abc: 11.802 7.746 4.802
angles: 90.00 112.49 90.00
Space group C2/m (No. 12)
Symmetry-distinct sites (fractional):
Ba 0.174 0.000 0.316 x4
P 0.083 0.268 0.709 x8
P 0.092 0.500 0.979 x4

Top 6 peaks for 2θ = 10–90°, by angle:
2θ = 22.96°, I = 18, hkl 0 2 0
2θ = 27.04°, I = 100, hkl 1 1 1
2θ = 28.26°, I = 19, hkl 2 2 0
2θ = 30.91°, I = 65, hkl 2 2 -1
2θ = 31.26°, I = 22, hkl 4 0 -1
2θ = 42.93°, I = 27, hkl 1 3 1


Entry 4:
Simulated X-ray diffraction stick pattern
Compound: Tm6PtRh3
Radiation: Cu Ka
Structure: the PBE geometry in Alexandria

Cell and atoms:
abc: 8.198 11.753 4.710
angles: 90.00 90.00 90.00
Space group Pnnm (No. 58)
Symmetry-distinct sites (fractional):
Tm 0.000 0.245 0.000 x4
Tm 0.165 0.411 0.500 x4
Tm 0.167 0.083 0.500 x4
Pt 0.000 0.500 0.000 x2
Rh 0.000 0.000 0.000 x2
Rh 0.166 0.838 0.500 x4

Top 6 peaks for 2θ = 10–90°, by angle:
2θ = 31.63°, I = 66, hkl 2 3 0
2θ = 37.70°, I = 100, hkl 1 4 1
2θ = 38.07°, I = 97, hkl 3 0 1
2θ = 38.21°, I = 48, hkl 0 0 2
2θ = 54.74°, I = 23, hkl 2 4 2
2θ = 68.54°, I = 23, hkl 4 4 2


Entry 5:
Simulated X-ray diffraction stick pattern
Compound: Nd5InAu2
Radiation: Cu Ka
Structure: the PBE geometry in Alexandria

Cell and atoms:
abc: 8.371 8.371 13.477
angles: 90.00 90.00 90.00
Space group I4/mcm (No. 140)
Symmetry-distinct sites (fractional):
Nd 0.000 0.000 0.000 x4
Nd 0.156 0.344 0.145 x16
In 0.000 0.000 0.250 x4
Au 0.134 0.366 0.500 x8

Top 6 peaks for 2θ = 10–90°, by angle:
2θ = 13.14°, I = 14, hkl 0 0 2
2θ = 31.10°, I = 100, hkl 2 1 3
2θ = 33.86°, I = 51, hkl 3 1 0
2θ = 34.16°, I = 13, hkl 2 0 4
2θ = 41.27°, I = 13, hkl 2 1 5
2θ = 63.31°, I = 18, hkl 5 2 3


Entry 6:
Simulated X-ray diffraction stick pattern
Compound: Ac3PrPt3
Radiation: Cu Ka
Structure: the PBE geometry in Alexandria

Cell and atoms:
abc: 12.836 4.339 15.569
angles: 90.00 90.00 90.00
Space group Pnma (No. 62)
Symmetry-distinct sites (fractional):
Ac 0.061 0.250 0.096 x4
Ac 0.160 0.750 0.516 x4
Ac 0.241 0.750 0.800 x4
Pr 0.024 0.250 0.702 x4
Pt 0.060 0.250 0.401 x4
Pt 0.109 0.250 0.897 x4
Pt 0.246 0.750 0.151 x4

Top 6 peaks for 2θ = 10–90°, by angle:
2θ = 27.68°, I = 100, hkl 1 1 3
2θ = 30.12°, I = 40, hkl 4 0 2
2θ = 30.25°, I = 74, hkl 2 1 3
2θ = 33.95°, I = 68, hkl 2 1 4
2θ = 34.77°, I = 70, hkl 4 1 0
2θ = 41.63°, I = 62, hkl 0 2 0


Entry 7:
Simulated X-ray diffraction stick pattern
Compound: SrBeCl3
Radiation: Cu Ka
Structure: the PBE geometry in Alexandria

Cell and atoms:
abc: 4.721 4.721 4.721
angles: 90.00 90.00 90.00
Space group Pm-3m (No. 221)
Symmetry-distinct sites (fractional):
Sr 0.000 0.000 0.000 x1
Be 0.500 0.500 0.500 x1
Cl 0.000 0.500 0.500 x3

Top 6 peaks for 2θ = 10–90°, by angle:
2θ = 18.80°, I = 15, hkl 1 0 0
2θ = 26.70°, I = 24, hkl 1 1 0
2θ = 32.86°, I = 100, hkl 1 1 1
2θ = 38.12°, I = 55, hkl 2 0 0
2θ = 55.01°, I = 34, hkl 2 2 0
2θ = 65.58°, I = 35, hkl 3 1 1


Entry 8:
Simulated X-ray diffraction stick pattern
Compound: Li3ReCl8
Radiation: Cu Ka
Structure: the PBE geometry in Alexandria

Cell and atoms:
abc: 7.696 10.074 7.646
angles: 90.00 90.00 90.00
Space group C222 (No. 21)
Symmetry-distinct sites (fractional):
Li 0.000 0.000 0.000 x2
Li 0.250 0.250 0.831 x4
Re 0.000 0.000 0.500 x2
Cl 0.000 0.228 0.500 x4
Cl 0.000 0.236 0.000 x4
Cl 0.218 0.005 0.717 x8

Top 6 peaks for 2θ = 10–90°, by angle:
2θ = 11.57°, I = 59, hkl 0 0 1
2θ = 14.48°, I = 100, hkl 1 1 0
2θ = 18.58°, I = 71, hkl 1 1 1
2θ = 21.12°, I = 35, hkl 0 2 1
2θ = 33.03°, I = 51, hkl 2 0 2
2θ = 49.38°, I = 28, hkl 2 4 2


Entry 9:
Simulated X-ray diffraction stick pattern
Compound: Nd2SmTm7
Radiation: Cu Ka
Structure: the PBE geometry in Alexandria

Cell and atoms:
abc: 6.124 7.074 7.909
angles: 77.24 75.08 73.35
Space group P-1 (No. 2)
Symmetry-distinct sites (fractional):
Nd 0.201 0.299 0.101 x2
Sm 0.000 0.000 0.500 x1
Tm 0.000 0.500 0.500 x1
Tm 0.200 0.800 0.101 x2
Tm 0.399 0.101 0.698 x2
Tm 0.400 0.600 0.698 x2

Top 6 peaks for 2θ = 10–90°, by angle:
2θ = 30.95°, I = 100, hkl 2 0 1
2θ = 35.89°, I = 51, hkl 2 2 0
2θ = 51.63°, I = 18, hkl 3 0 -1
2θ = 51.71°, I = 18, hkl 3 2 3
2θ = 61.41°, I = 21, hkl 3 0 4
2θ = 61.51°, I = 21, hkl 4 2 1